# 1
Starting from a DFT-relaxed cell (GGA-PBE, Alexandria), the PXRD pattern of Tm2ScAu6 was simulated for Cu Kα X-rays.
No peak broadening, texture or thermal motion is included.

Atomic structure:
Unit cell a=8.294 b=8.294 c=5.162 alpha=98.88 beta=98.88 gamma=143.77
Positions (direct):
Tm (0.165, 0.835, 0.000)
Tm (0.835, 0.165, 0.000)
Sc (0.500, 0.500, 0.500)
Au (0.157, 0.157, 0.828)
Au (0.173, 0.500, 0.666)
Au (0.500, 0.173, 0.666)
Au (0.500, 0.827, 0.334)
Au (0.827, 0.500, 0.334)
Au (0.843, 0.843, 0.172)

Main lines, by angle (10° ≤ 2θ ≤ 90°):
Position (°2θ), I/Imax
34.12, 59.2
35.14, 47.5
36.67, 37.6
38.86, 100.0
41.86, 32.3
45.33, 18.7
53.96, 17.5
64.25, 22.7
64.97, 18.6
69.92, 13.5
73.40, 13.3
83.48, 19.1



# 2
Starting from a DFT-relaxed cell (GGA-PBE, Alexandria), the PXRD pattern of Y4IrAu3 was simulated for Cu Kα X-rays.
No peak broadening, texture or thermal motion is included.

Atomic structure:
Unit cell a=3.555 b=3.555 c=14.363 alpha=90.00 beta=90.00 gamma=90.00
Positions (direct):
Y (0.000, 0.000, 0.114)
Y (0.000, 0.000, 0.371)
Y (0.000, 0.000, 0.629)
Y (0.000, 0.000, 0.886)
Ir (0.500, 0.500, 0.000)
Au (0.500, 0.500, 0.247)
Au (0.500, 0.500, 0.500)
Au (0.500, 0.500, 0.753)

Main lines, by angle (10° ≤ 2θ ≤ 90°):
Position (°2θ), I/Imax
24.80, 8.4
25.05, 15.9
35.53, 100.0
35.72, 50.0
43.97, 8.1
50.86, 8.6
51.40, 17.8
63.69, 17.6
64.05, 36.1
75.22, 10.9
86.48, 8.2
86.58, 8.3



# 3
Starting from a DFT-relaxed cell (GGA-PBE, Alexandria), the PXRD pattern of Ba4Au2N was simulated for Cu Kα X-rays.
No peak broadening, texture or thermal motion is included.

Atomic structure:
Unit cell a=9.175 b=9.175 c=9.175 alpha=144.79 beta=144.79 gamma=50.64
Positions (direct):
Ba (0.000, 0.500, 0.500)
Ba (0.167, 0.167, 0.000)
Ba (0.500, 0.000, 0.500)
Ba (0.833, 0.833, 0.000)
Au (0.370, 0.370, 0.000)
Au (0.630, 0.630, 0.000)
N (0.000, 0.000, 0.000)

Main lines, by angle (10° ≤ 2θ ≤ 90°):
Position (°2θ), I/Imax
22.66, 26.3
25.11, 39.7
31.39, 100.0
32.26, 55.3
32.38, 11.9
45.65, 13.6
46.31, 37.5
53.36, 10.1
56.98, 33.6
57.61, 9.0
76.34, 9.6
76.83, 13.1



# 4
Starting from a DFT-relaxed cell (GGA-PBE, Alexandria), the PXRD pattern of NaPa2BeN4 was simulated for Cu Kα X-rays.
No peak broadening, texture or thermal motion is included.

Atomic structure:
Unit cell a=6.871 b=6.871 c=7.592 alpha=123.32 beta=123.32 gamma=70.48
Positions (direct):
Na (0.000, 0.500, 0.000)
Na (0.500, 0.000, 0.500)
Pa (0.000, 0.000, 0.000)
Pa (0.000, 0.000, 0.500)
Pa (0.000, 0.500, 0.500)
Pa (0.500, 0.000, 0.000)
Be (0.500, 0.500, 0.000)
Be (0.500, 0.500, 0.500)
N (0.153, 0.168, 0.409)
N (0.168, 0.153, 0.909)
N (0.297, 0.701, 0.956)
N (0.299, 0.703, 0.544)
N (0.701, 0.297, 0.456)
N (0.703, 0.299, 0.044)
N (0.832, 0.847, 0.091)
N (0.847, 0.832, 0.591)

Main lines, by angle (10° ≤ 2θ ≤ 90°):
Position (°2θ), I/Imax
15.45, 100.0
16.16, 78.6
26.93, 40.7
28.19, 37.1
31.19, 74.9
31.86, 47.7
32.03, 47.3
32.66, 63.0
43.56, 25.8
45.77, 17.6
55.41, 17.7
56.84, 17.5